[1]
LiTi2P3O12: theoretical XRD peak list (Cu Kα), based on a crystal structure in the Materials Project, relaxed with GGA-PBE.
Kinematic intensities with the Lorentz-polarization factor, no thermal factor.

Atomic structure:
```
data_LiTi2P3O12
_cell_length_a 8.390
_cell_length_b 8.404
_cell_length_c 8.977
_cell_angle_alpha 62.12
_cell_angle_beta 62.19
_cell_angle_gamma 60.13
_symmetry_space_group_name_H-M 'P 1'
_symmetry_Int_Tables_number 1
_symmetry_space_group_name_Hall 'P 1'
loop_
_atom_site_label
_atom_site_type_symbol
_atom_site_fract_x
_atom_site_fract_y
_atom_site_fract_z
Li1 Li 0.000 0.000 0.000
Li2 Li 0.427 0.335 0.004
Ti1 Ti 0.026 0.609 0.077
Ti2 Ti 0.334 0.901 0.195
Ti3 Ti 0.541 0.115 0.560
Ti4 Ti 0.829 0.411 0.694
P1 P 0.151 0.289 0.882
P2 P 0.220 0.227 0.378
P3 P 0.433 0.726 0.886
P4 P 0.649 0.506 0.385
P5 P 0.715 0.013 0.882
P6 P 0.933 0.800 0.378
O1 O 0.052 0.264 0.546
O2 O 0.140 0.787 0.333
O3 O 0.160 0.093 0.030
O4 O 0.170 0.429 0.937
O5 O 0.212 0.079 0.328
O6 O 0.213 0.416 0.219
O7 O 0.221 0.746 0.936
O8 O 0.314 0.262 0.710
O9 O 0.413 0.149 0.411
O10 O 0.461 0.747 0.034
O11 O 0.482 0.881 0.711
O12 O 0.507 0.715 0.329
O13 O 0.516 0.054 0.028
O14 O 0.567 0.521 0.867
O15 O 0.575 0.361 0.408
O16 O 0.674 0.468 0.559
O17 O 0.693 0.053 0.708
O18 O 0.786 0.994 0.406
O19 O 0.803 0.150 0.864
O20 O 0.848 0.484 0.237
O21 O 0.856 0.803 0.941
O22 O 0.890 0.636 0.548
O23 O 0.917 0.788 0.218
O24 O 0.954 0.373 0.852
```

The 12 most intense peaks (2θ = 10–90°), low angle first:
two_theta	intensity	h k l
14.5	61.7	1 0 1
19.9	49.4	1 1 2
21.1	13.9	1 2 1
23.5	7.3	0 0 2
24.2	100.0	1 2 0
29.2	41.4	2 0 2
31.9	42.0	1 2 -1
32.8	11.6	1 -2 0
36.3	7.9	3 2 3
37.0	6.8	3 0 1
49.7	7.1	2 4 0
52.3	14.1	1 -2 3



[2]
LiTiP2O7: theoretical XRD peak list (Cu Kα), based on a crystal structure in the Materials Project, relaxed with GGA-PBE.
Kinematic intensities with the Lorentz-polarization factor, no thermal factor.

Atomic structure:
```
data_LiTiP2O7
_cell_length_a 7.074
_cell_length_b 10.368
_cell_length_c 8.067
_cell_angle_alpha 90.00
_cell_angle_beta 113.00
_cell_angle_gamma 90.00
_symmetry_space_group_name_H-M 'P 1 21/c 1'
_symmetry_Int_Tables_number 14
_symmetry_space_group_name_Hall '-P 2ybc'
loop_
_atom_site_label
_atom_site_type_symbol
_atom_site_fract_x
_atom_site_fract_y
_atom_site_fract_z
Li1 Li 0.138 0.165 0.075
Ti1 Ti 0.228 0.608 0.252
P1 P 0.136 0.592 0.804
P2 P 0.478 0.652 0.708
O1 O 0.033 0.033 0.210
O2 O 0.047 0.713 0.690
O3 O 0.133 0.604 0.991
O4 O 0.322 0.080 0.753
O5 O 0.327 0.634 0.512
O6 O 0.373 0.579 0.830
O7 O 0.488 0.207 0.231
```

The 12 most intense peaks (2θ = 10–90°), low angle first:
two_theta	intensity	h k l
16.1	100.0	1 1 0
16.6	15.0	1 1 -1
20.9	11.3	0 2 1
24.0	83.6	0 0 2
28.4	9.3	1 2 -2
29.3	32.7	1 3 0
29.8	10.6	2 1 -2
30.6	35.5	2 2 -1
34.6	18.8	0 4 0
39.4	22.3	3 1 -1
49.1	9.5	0 0 4
59.5	9.1	2 6 -1



[3]
LiTiP2O7: theoretical XRD peak list (Cu Kα), based on a crystal structure in the Materials Project, relaxed with GGA-PBE.
Kinematic intensities with the Lorentz-polarization factor, no thermal factor.

Atomic structure:
```
data_LiTiP2O7
_cell_length_a 6.605
_cell_length_b 8.310
_cell_length_c 4.611
_cell_angle_alpha 90.00
_cell_angle_beta 103.88
_cell_angle_gamma 90.00
_symmetry_space_group_name_H-M 'C 1 2 1'
_symmetry_Int_Tables_number 5
_symmetry_space_group_name_Hall 'C 2y'
loop_
_atom_site_label
_atom_site_type_symbol
_atom_site_fract_x
_atom_site_fract_y
_atom_site_fract_z
Li1 Li 0.000 0.000 0.000
Ti1 Ti 0.000 0.622 0.000
P1 P 0.207 0.286 0.410
O1 O 0.000 0.220 0.500
O2 O 0.128 0.802 0.293
O3 O 0.166 0.450 0.257
O4 O 0.247 0.154 0.198
```

The 12 most intense peaks (2θ = 10–90°), low angle first:
two_theta	intensity	h k l
17.5	54.7	1 1 0
21.4	62.4	0 2 0
23.9	25.6	1 1 -1
29.0	95.3	1 1 1
29.3	100.0	0 2 1
30.1	90.4	2 0 -1
35.3	29.7	2 2 0
42.5	24.0	1 3 1
43.7	30.2	3 1 -1
48.3	20.0	0 4 1
48.9	23.4	2 2 -2
57.4	24.2	1 3 2



[4]
Li3TiP2O8: theoretical XRD peak list (Cu Kα), based on a crystal structure in the Materials Project, relaxed with GGA-PBE.
Kinematic intensities with the Lorentz-polarization factor, no thermal factor.

Atomic structure:
```
data_Li3TiP2O8
_cell_length_a 8.309
_cell_length_b 5.497
_cell_length_c 6.251
_cell_angle_alpha 90.00
_cell_angle_beta 90.48
_cell_angle_gamma 90.00
_symmetry_space_group_name_H-M 'C 1 2/m 1'
_symmetry_Int_Tables_number 12
_symmetry_space_group_name_Hall '-C 2y'
loop_
_atom_site_label
_atom_site_type_symbol
_atom_site_fract_x
_atom_site_fract_y
_atom_site_fract_z
Li1 Li 0.000 0.000 0.000
Li2 Li 0.170 0.500 0.222
Ti1 Ti 0.000 0.000 0.500
P1 P 0.150 0.500 0.733
O1 O 0.034 0.277 0.728
O2 O 0.243 0.000 0.067
O3 O 0.244 0.000 0.471
```

The 12 most intense peaks (2θ = 10–90°), low angle first:
two_theta	intensity	h k l
14.2	61.7	0 0 1
24.1	100.0	1 1 1
25.6	63.6	2 0 -1
32.6	34.9	0 2 0
34.7	38.2	1 1 -2
34.8	39.8	1 1 2
36.3	33.4	3 1 0
39.3	28.0	2 2 0
43.9	14.7	0 2 2
57.6	13.5	4 2 1
63.3	13.4	4 2 -2
63.7	24.7	4 2 2